Record 1
Cs2LiSnAs2: simulated X-ray powder pattern (Cu Kα X-rays), based on the PBE geometry in Alexandria.
Lines closer than 0.1° are merged.

Most intense lines, 2θ from 5° to 70°, sorted by position:
Position (°2θ)  I (rel.)
13.95  20
25.60  19
26.02  18
27.93  100
33.36  22
33.69  22
36.82  52
46.59  24
46.87  19
47.09  22

a = 9.758 Å, b = 9.758 Å, c = 9.758 Å
α = 138.91°, β = 60.04°, γ = 138.22°
Sites, in units of the cell vectors:
Cs (0.172, 0.236, 0.407)
Cs (0.328, 0.736, 0.064)
Cs (0.672, 0.264, 0.936)
Cs (0.828, 0.764, 0.593)
Li (0.250, 0.250, 0.000)
Li (0.750, 0.750, 0.000)
Sn (0.250, 0.750, 0.500)
Sn (0.750, 0.250, 0.500)
As (0.086, 0.751, 0.837)
As (0.414, 0.251, 0.665)
As (0.586, 0.749, 0.335)
As (0.914, 0.249, 0.163)

***

Record 2
Ho4Cl: simulated X-ray powder pattern (Cu Kα X-rays), based on the PBE geometry in Alexandria.
Lines closer than 0.1° are merged.

Most intense lines, 2θ from 5° to 70°, sorted by position:
Position (°2θ)  I (rel.)
16.91  1
24.00  1
29.51  100
34.20  64
49.15  46
58.37  45
61.24  16

a = 5.243 Å, b = 5.243 Å, c = 5.243 Å
α = 90.00°, β = 90.00°, γ = 90.00°
Sites, in units of the cell vectors:
Ho (0.000, 0.000, 0.000)
Ho (0.000, 0.500, 0.500)
Ho (0.500, 0.000, 0.500)
Ho (0.500, 0.500, 0.000)
Cl (0.500, 0.500, 0.500)

***

What is the formula in the second record?
Ho4Cl